1.
Starting from a PBE-relaxed structure, the powder diffraction line list of BaPr2S4 was calculated for Cu Kα (λ = 1.5418 Å).

Top 8 peaks for 5 to 70 degrees two-theta, in order of rising 2θ:
| 2θ/deg | I/Imax | (hkl) |
| --- | --- | --- |
| 24.49 | 100 | 2 1 1 |
| 31.79 | 98 | 1 0 3 |
| 37.81 | 60 | 3 2 1 |
| 45.57 | 41 | 4 0 2 |
| 47.93 | 27 | 3 3 2 |
| 52.41 | 32 | 3 1 4 |
| 64.53 | 38 | 1 1 6 |
| 68.29 | 15 | 4 1 5 |

Lattice parameters (Å, degrees): 8.9048 8.9048 8.8957 90.00 90.00 90.00
Space group I-42d (No. 122)
One atom of each set of equivalent atoms:
Ba 0.0000 0.0000 0.0000 x4
Pr 0.1234 0.2500 0.6250 x8
S 0.0781 0.1678 0.3135 x16


2.
Starting from a PBE-relaxed structure, the powder diffraction line list of Na3RuO4 was calculated for Cu Kα (λ = 1.5418 Å).

Top 8 peaks for 5 to 70 degrees two-theta, in order of rising 2θ:
| 2θ/deg | I/Imax | (hkl) |
| --- | --- | --- |
| 10.86 | 42 | 1 1 0 |
| 13.66 | 27 | 0 2 0 |
| 16.33 | 80 | 0 0 1 |
| 33.75 | 40 | 2 4 -1 |
| 38.87 | 49 | 4 0 -2 |
| 39.20 | 100 | 2 4 1 |
| 55.58 | 28 | 2 4 -3 |
| 57.20 | 27 | 6 4 -1 |

Lattice parameters (Å, degrees): 11.1355 12.9656 5.7681 90.00 109.78 90.00
Space group C2/m (No. 12)
One atom of each set of equivalent atoms:
Na 0.0000 0.0000 0.0000 x2
Na 0.0000 0.1243 0.5000 x4
Na 0.0000 0.2419 0.0000 x4
Na 0.0000 0.5000 0.0000 x2
Na 0.2450 0.3747 0.0189 x8
Na 0.2500 0.2500 0.5000 x4
Ru 0.0000 0.3728 0.5000 x4
Ru 0.2462 0.0000 0.4752 x4
O 0.1017 0.2735 0.7231 x8
O 0.1119 0.5000 0.7032 x4
O 0.1221 0.3881 0.3109 x8
O 0.1462 0.1075 0.2682 x8
O 0.1552 0.0000 0.7008 x4


3.
Starting from a PBE-relaxed structure, the powder diffraction line list of PrGe3 was calculated for Cu Kα (λ = 1.5418 Å).

Top 8 peaks for 5 to 70 degrees two-theta, in order of rising 2θ:
| 2θ/deg | I/Imax | (hkl) |
| --- | --- | --- |
| 20.07 | 10 | 1 0 0 |
| 28.53 | 8 | 1 1 0 |
| 35.13 | 100 | 1 1 1 |
| 40.78 | 49 | 2 0 0 |
| 45.86 | 5 | 2 1 0 |
| 50.52 | 4 | 2 1 1 |
| 59.05 | 33 | 2 2 0 |
| 63.02 | 2 | 3 0 0 |

Lattice parameters (Å, degrees): 4.4250 4.4250 4.4250 90.00 90.00 90.00
Space group Pm-3m (No. 221)
One atom of each set of equivalent atoms:
Pr 0.0000 0.0000 0.0000 x1
Ge 0.0000 0.5000 0.5000 x3


4.
Starting from a PBE-relaxed structure, the powder diffraction line list of Sc2Be17 was calculated for Cu Kα (λ = 1.5418 Å).

Top 8 peaks for 5 to 70 degrees two-theta, in order of rising 2θ:
| 2θ/deg | I/Imax | (hkl) |
| --- | --- | --- |
| 18.22 | 42 | 1 0 1 |
| 23.66 | 72 | 1 1 0 |
| 30.02 | 28 | 2 0 1 |
| 34.16 | 100 | 1 1 2 |
| 38.58 | 26 | 2 1 1 |
| 41.59 | 44 | 3 0 0 |
| 48.41 | 44 | 2 2 0 |
| 48.75 | 74 | 3 0 2 |

Lattice parameters (Å, degrees): 7.5215 7.5215 7.3284 90.00 90.00 120.00
Space group P6_3/mmc (No. 194)
One atom of each set of equivalent atoms:
Sc 0.0000 0.0000 0.2500 x2
Sc 0.3333 0.6667 0.2500 x2
Be 0.0000 0.5000 0.0000 x6
Be 0.0468 0.3783 0.7500 x12
Be 0.1662 0.3324 0.0115 x12
Be 0.3333 0.6667 0.6052 x4